Diffraction record for Co5As2. The powder diffraction line list is calculated, not measured: it uses a cell relaxed with GGA-PBE and copper Kα.
Neutral-atom scattering factors, no anomalous dispersion.

Structure:
Lattice parameters (Å, degrees): 6.787 6.787 12.373 90.00 90.00 120.00
Fractional coordinates of all 42 atoms:
Co 0.000 0.000 0.000
Co 0.000 0.000 0.500
Co 0.000 0.270 0.170
Co 0.000 0.307 0.375
Co 0.000 0.370 0.976
Co 0.000 0.373 0.765
Co 0.000 0.627 0.265
Co 0.000 0.630 0.476
Co 0.000 0.693 0.875
Co 0.000 0.730 0.670
Co 0.270 0.000 0.170
Co 0.270 0.270 0.670
Co 0.307 0.000 0.375
Co 0.307 0.307 0.875
Co 0.333 0.667 0.139
Co 0.333 0.667 0.639
Co 0.370 0.000 0.976
Co 0.370 0.370 0.476
Co 0.373 0.000 0.765
Co 0.373 0.373 0.265
Co 0.627 0.000 0.265
Co 0.627 0.627 0.765
Co 0.630 0.000 0.476
Co 0.630 0.630 0.976
Co 0.667 0.333 0.139
Co 0.667 0.333 0.639
Co 0.693 0.000 0.875
Co 0.693 0.693 0.375
Co 0.730 0.000 0.670
Co 0.730 0.730 0.170
As 0.000 0.000 0.298
As 0.000 0.000 0.798
As 0.000 0.329 0.569
As 0.000 0.671 0.069
As 0.329 0.000 0.569
As 0.329 0.329 0.069
As 0.333 0.667 0.343
As 0.333 0.667 0.843
As 0.667 0.333 0.343
As 0.667 0.333 0.843
As 0.671 0.000 0.069
As 0.671 0.671 0.569

Principal peaks in the range 5 to 70 degrees two-theta, by angle:
| Position (°2θ) | intensity |
| --- | --- |
| 30.0 | 9 |
| 41.3 | 14 |
| 42.4 | 22 |
| 45.4 | 85 |
| 46.3 | 100 |
| 50.6 | 12 |
| 51.9 | 13 |
| 66.9 | 17 |

=====

Diffraction record for Tm6Te5Se. The powder diffraction line list is calculated, not measured: it uses a cell relaxed with GGA-PBE and copper Kα.
Neutral-atom scattering factors, no anomalous dispersion.

Structure:
Lattice parameters (Å, degrees): 7.405 7.405 7.351 99.53 99.53 120.19
Fractional coordinates of all 12 atoms:
Tm 0.072 0.375 0.726
Tm 0.218 0.218 0.259
Tm 0.375 0.072 0.726
Tm 0.625 0.928 0.274
Tm 0.782 0.782 0.741
Tm 0.928 0.625 0.274
Te 0.179 0.821 0.000
Te 0.337 0.663 0.500
Te 0.500 0.500 0.000
Te 0.663 0.337 0.500
Te 0.821 0.179 0.000
Se 0.000 0.000 0.500

Principal peaks in the range 5 to 70 degrees two-theta, by angle:
| Position (°2θ) | intensity |
| --- | --- |
| 29.6 | 100 |
| 29.7 | 51 |
| 42.2 | 18 |
| 42.4 | 34 |
| 42.5 | 54 |
| 52.5 | 26 |
| 61.4 | 10 |
| 69.8 | 19 |

=====

Diffraction record for La2Pm4Hg. The powder diffraction line list is calculated, not measured: it uses a cell relaxed with GGA-PBE and copper Kα.
Neutral-atom scattering factors, no anomalous dispersion.

Structure:
Lattice parameters (Å, degrees): 8.794 8.794 8.642 117.27 117.27 23.64
Fractional coordinates of all 7 atoms:
La 0.217 0.217 0.143
La 0.783 0.783 0.857
Pm 0.081 0.081 0.701
Pm 0.378 0.378 0.623
Pm 0.622 0.622 0.377
Pm 0.919 0.919 0.299
Hg 0.000 0.000 0.000

Principal peaks in the range 5 to 70 degrees two-theta, by angle:
| Position (°2θ) | intensity |
| --- | --- |
| 29.2 | 34 |
| 29.5 | 98 |
| 30.8 | 98 |
| 31.4 | 93 |
| 31.9 | 100 |
| 32.8 | 47 |
| 35.6 | 45 |
| 36.6 | 43 |

=====

Diffraction record for Ac2Bi2Rh3. The powder diffraction line list is calculated, not measured: it uses a cell relaxed with GGA-PBE and copper Kα.
Neutral-atom scattering factors, no anomalous dispersion.

Structure:
Lattice parameters (Å, degrees): 7.833 7.833 7.833 109.47 109.47 109.47
Fractional coordinates of all 14 atoms:
Ac 0.000 0.016 0.500
Ac 0.016 0.500 0.000
Ac 0.484 0.484 0.484
Ac 0.500 0.000 0.016
Bi 0.000 0.581 0.500
Bi 0.500 0.000 0.581
Bi 0.581 0.500 0.000
Bi 0.919 0.919 0.919
Rh 0.022 0.250 0.272
Rh 0.228 0.478 0.750
Rh 0.250 0.272 0.022
Rh 0.272 0.022 0.250
Rh 0.478 0.750 0.228
Rh 0.750 0.228 0.478

Principal peaks in the range 5 to 70 degrees two-theta, by angle:
| Position (°2θ) | intensity |
| --- | --- |
| 27.9 | 100 |
| 31.3 | 24 |
| 34.3 | 21 |
| 37.2 | 36 |
| 39.9 | 43 |
| 47.1 | 18 |
| 49.4 | 27 |
| 57.7 | 22 |

=====

Diffraction record for RbLiTlF3. The powder diffraction line list is calculated, not measured: it uses a cell relaxed with GGA-PBE and copper Kα.
Neutral-atom scattering factors, no anomalous dispersion.

Structure:
Lattice parameters (Å, degrees): 7.905 7.905 7.762 106.92 106.92 29.99
Fractional coordinates of all 12 atoms:
Rb 0.152 0.152 0.071
Rb 0.848 0.848 0.929
Li 0.482 0.482 0.262
Li 0.518 0.518 0.738
Tl 0.145 0.145 0.545
Tl 0.855 0.855 0.455
F 0.016 0.016 0.697
F 0.349 0.349 0.182
F 0.393 0.393 0.725
F 0.607 0.607 0.275
F 0.651 0.651 0.818
F 0.984 0.984 0.303

Principal peaks in the range 5 to 70 degrees two-theta, by angle:
| Position (°2θ) | intensity |
| --- | --- |
| 12.0 | 67 |
| 22.6 | 65 |
| 24.5 | 68 |
| 28.5 | 71 |
| 28.8 | 55 |
| 30.2 | 33 |
| 31.8 | 100 |
| 41.2 | 51 |

=====

Diffraction record for HoMgSc4S8. The powder diffraction line list is calculated, not measured: it uses a cell relaxed with GGA-PBE and copper Kα.
Neutral-atom scattering factors, no anomalous dispersion.

Structure:
Lattice parameters (Å, degrees): 7.695 7.695 7.695 59.28 59.28 59.28
Fractional coordinates of all 14 atoms:
Ho 0.000 0.000 0.000
Mg 0.373 0.373 0.373
Sc 0.001 0.001 0.491
Sc 0.001 0.491 0.001
Sc 0.491 0.001 0.001
Sc 0.625 0.625 0.625
S 0.230 0.749 0.749
S 0.241 0.241 0.241
S 0.248 0.248 0.767
S 0.248 0.767 0.248
S 0.749 0.230 0.749
S 0.749 0.749 0.230
S 0.757 0.757 0.757
S 0.767 0.248 0.248

Principal peaks in the range 5 to 70 degrees two-theta, by angle:
| Position (°2θ) | intensity |
| --- | --- |
| 14.2 | 93 |
| 16.4 | 31 |
| 23.4 | 37 |
| 27.1 | 44 |
| 27.4 | 92 |
| 33.1 | 100 |
| 47.3 | 55 |
| 47.8 | 55 |

=====

Diffraction record for LaTb3Pr2Te6. The powder diffraction line list is calculated, not measured: it uses a cell relaxed with GGA-PBE and copper Kα.
Neutral-atom scattering factors, no anomalous dispersion.

Structure:
Lattice parameters (Å, degrees): 10.013 10.013 9.003 104.12 104.12 25.53
Fractional coordinates of all 12 atoms:
La 0.000 0.000 0.000
Tb 0.000 0.000 0.500
Tb 0.333 0.333 0.167
Tb 0.667 0.667 0.833
Pr 0.332 0.332 0.663
Pr 0.668 0.668 0.337
Te 0.163 0.163 0.591
Te 0.170 0.170 0.077
Te 0.498 0.498 0.259
Te 0.502 0.502 0.741
Te 0.830 0.830 0.923
Te 0.837 0.837 0.409

Principal peaks in the range 5 to 70 degrees two-theta, by angle:
| Position (°2θ) | intensity |
| --- | --- |
| 28.3 | 100 |
| 40.1 | 38 |
| 40.8 | 38 |
| 49.3 | 7 |
| 50.4 | 20 |
| 58.5 | 13 |
| 65.8 | 11 |
| 66.7 | 17 |

=====

Diffraction record for Mg4AlB10. The powder diffraction line list is calculated, not measured: it uses a cell relaxed with GGA-PBE and copper Kα.
Neutral-atom scattering factors, no anomalous dispersion.

Structure:
Lattice parameters (Å, degrees): 3.060 3.060 17.332 90.00 90.00 120.00
Fractional coordinates of all 15 atoms:
Mg 0.000 0.000 0.102
Mg 0.000 0.000 0.303
Mg 0.000 0.000 0.697
Mg 0.000 0.000 0.898
Al 0.000 0.000 0.500
B 0.333 0.667 0.000
B 0.333 0.667 0.204
B 0.333 0.667 0.409
B 0.333 0.667 0.591
B 0.333 0.667 0.796
B 0.667 0.333 0.000
B 0.667 0.333 0.204
B 0.667 0.333 0.409
B 0.667 0.333 0.591
B 0.667 0.333 0.796

Principal peaks in the range 5 to 70 degrees two-theta, by angle:
| Position (°2θ) | intensity |
| --- | --- |
| 5.1 | 4 |
| 25.7 | 4 |
| 33.8 | 29 |
| 43.0 | 100 |
| 52.8 | 12 |
| 60.5 | 25 |
| 64.2 | 10 |
| 66.8 | 4 |

=====

Diffraction record for Tm5Tl2Fe. The powder diffraction line list is calculated, not measured: it uses a cell relaxed with GGA-PBE and copper Kα.
Neutral-atom scattering factors, no anomalous dispersion.

Structure:
Lattice parameters (Å, degrees): 6.810 12.248 4.846 90.00 90.00 90.00
Fractional coordinates of all 16 atoms:
Tm 0.000 0.000 0.000
Tm 0.113 0.294 0.000
Tm 0.176 0.583 0.500
Tm 0.324 0.083 0.500
Tm 0.387 0.794 0.000
Tm 0.500 0.500 0.000
Tm 0.613 0.206 0.000
Tm 0.676 0.917 0.500
Tm 0.824 0.417 0.500
Tm 0.887 0.706 0.000
Tl 0.112 0.839 0.500
Tl 0.388 0.339 0.500
Tl 0.612 0.661 0.500
Tl 0.888 0.161 0.500
Fe 0.000 0.500 0.000
Fe 0.500 0.000 0.000

Principal peaks in the range 5 to 70 degrees two-theta, by angle:
| Position (°2θ) | intensity |
| --- | --- |
| 31.5 | 65 |
| 32.1 | 53 |
| 33.0 | 100 |
| 34.3 | 21 |
| 34.7 | 45 |
| 37.1 | 58 |
| 49.8 | 22 |
| 64.3 | 18 |

=====

Diffraction record for MgTlIn. The powder diffraction line list is calculated, not measured: it uses a cell relaxed with GGA-PBE and copper Kα.
Neutral-atom scattering factors, no anomalous dispersion.

Structure:
Lattice parameters (Å, degrees): 5.468 3.428 8.570 90.00 90.37 90.00
Fractional coordinates of all 6 atoms:
Mg 0.250 0.000 0.057
Mg 0.750 0.500 0.943
Tl 0.250 0.501 0.384
Tl 0.750 0.001 0.616
In 0.250 0.501 0.756
In 0.750 0.001 0.244

Principal peaks in the range 5 to 70 degrees two-theta, by angle:
| Position (°2θ) | intensity |
| --- | --- |
| 10.3 | 100 |
| 30.8 | 100 |
| 32.6 | 58 |
| 32.8 | 59 |
| 33.5 | 47 |
| 35.4 | 37 |
| 35.6 | 37 |
| 53.4 | 36 |

=====

Diffraction record for Hf4NbGe4. The powder diffraction line list is calculated, not measured: it uses a cell relaxed with GGA-PBE and copper Kα.
Neutral-atom scattering factors, no anomalous dispersion.

Structure:
Lattice parameters (Å, degrees): 6.945 13.485 7.066 90.00 90.00 90.00
Fractional coordinates of all 36 atoms:
Hf 0.014 0.095 0.177
Hf 0.014 0.405 0.177
Hf 0.153 0.625 0.331
Hf 0.153 0.875 0.331
Hf 0.347 0.125 0.831
Hf 0.347 0.375 0.831
Hf 0.486 0.595 0.677
Hf 0.486 0.905 0.677
Hf 0.514 0.095 0.323
Hf 0.514 0.405 0.323
Hf 0.653 0.625 0.169
Hf 0.653 0.875 0.169
Hf 0.847 0.125 0.669
Hf 0.847 0.375 0.669
Hf 0.986 0.595 0.823
Hf 0.986 0.905 0.823
Nb 0.174 0.250 0.503
Nb 0.326 0.750 0.003
Nb 0.674 0.250 0.997
Nb 0.826 0.750 0.497
Ge 0.045 0.250 0.892
Ge 0.186 0.750 0.650
Ge 0.191 0.040 0.533
Ge 0.191 0.460 0.533
Ge 0.309 0.540 0.033
Ge 0.309 0.960 0.033
Ge 0.314 0.250 0.150
Ge 0.455 0.750 0.392
Ge 0.545 0.250 0.608
Ge 0.686 0.750 0.850
Ge 0.691 0.040 0.967
Ge 0.691 0.460 0.967
Ge 0.809 0.540 0.467
Ge 0.809 0.960 0.467
Ge 0.814 0.250 0.350
Ge 0.955 0.750 0.108

Principal peaks in the range 5 to 70 degrees two-theta, by angle:
| Position (°2θ) | intensity |
| --- | --- |
| 29.1 | 21 |
| 34.8 | 100 |
| 35.0 | 86 |
| 36.9 | 59 |
| 39.1 | 26 |
| 39.4 | 47 |
| 41.0 | 89 |
| 62.7 | 34 |

=====

Diffraction record for PtRh3. The powder diffraction line list is calculated, not measured: it uses a cell relaxed with GGA-PBE and copper Kα.
Neutral-atom scattering factors, no anomalous dispersion.

Structure:
Lattice parameters (Å, degrees): 2.739 2.739 7.751 90.00 90.00 90.00
Fractional coordinates of all 4 atoms:
Pt 0.000 0.000 0.000
Rh 0.000 0.000 0.500
Rh 0.500 0.500 0.257
Rh 0.500 0.500 0.743

Principal peaks in the range 5 to 70 degrees two-theta, by angle:
| Position (°2θ) | intensity |
| --- | --- |
| 11.4 | 10 |
| 22.9 | 3 |
| 32.7 | 2 |
| 34.7 | 7 |
| 40.3 | 100 |
| 46.9 | 48 |
| 48.4 | 2 |
| 68.5 | 31 |

=====

Q: Which formula does entry 8 have?
A: Mg4AlB10